Theoretical PXRD pattern of Rb2Ga3Sn4Au for Cu Kα, from a crystal structure in Alexandria, relaxed with PBE.
Peak positions follow from Bragg's law for the DFT cell and can differ from measured ones.

Structural model:
a = 4.931 Å, b = 4.931 Å, c = 11.665 Å
α = 90.00°, β = 90.00°, γ = 90.00°
Space group P-4m2 (No. 115)
Inequivalent atoms, fractional coordinates:
Rb  0.000  0.500  0.243 [2 per cell]
Ga  0.000  0.000  0.000 [1 per cell]
Ga  0.000  0.500  0.636 [2 per cell]
Sn  0.000  0.000  0.500 [1 per cell]
Sn  0.000  0.500  0.877 [2 per cell]
Sn  0.500  0.500  0.500 [1 per cell]
Au  0.500  0.500  0.000 [1 per cell]

Most intense lines, 10° ≤ 2θ ≤ 80°, in order of rising 2θ:
(0 0 2), 2θ 15.2, rel. 26.2
(1 0 3), 2θ 29.2, rel. 43.5
(1 1 2), 2θ 29.9, rel. 100.0
(2 0 0), 2θ 36.4, rel. 69.9
(1 1 4), 2θ 40.3, rel. 48.7
(2 1 3), 2θ 47.4, rel. 23.0
(2 2 0), 2θ 52.5, rel. 24.7
(3 1 2), 2θ 61.6, rel. 25.8

---

Theoretical PXRD pattern of Ti3V4Si2 for Cu Kα, from a crystal structure in Alexandria, relaxed with PBE.
Peak positions follow from Bragg's law for the DFT cell and can differ from measured ones.

Structural model:
a = 4.284 Å, b = 5.118 Å, c = 6.751 Å
α = 103.54°, β = 90.33°, γ = 114.72°
Space group P-1 (No. 2)
Inequivalent atoms, fractional coordinates:
Ti  0.000  0.000  0.000 [1 per cell]
Ti  0.439  0.885  0.667 [2 per cell]
V  0.113  0.233  0.645 [2 per cell]
V  0.322  0.646  0.978 [2 per cell]
Si  0.235  0.464  0.301 [2 per cell]

Most intense lines, 10° ≤ 2θ ≤ 80°, in order of rising 2θ:
(1 1 -2), 2θ 41.0, rel. 100.0
(1 -2 2), 2θ 41.1, rel. 98.9
(0 0 3), 2θ 41.6, rel. 90.7
(-1 2 1), 2θ 42.0, rel. 98.8
(1 1 1), 2θ 42.1, rel. 97.6
(2 -1 0), 2θ 42.2, rel. 99.7
(0 3 -1), 2θ 59.7, rel. 29.7
(2 -1 3), 2θ 60.9, rel. 28.8

---

Theoretical PXRD pattern of Al2NO for Cu Kα, from a crystal structure in Alexandria, relaxed with PBE.
Peak positions follow from Bragg's law for the DFT cell and can differ from measured ones.

Structural model:
a = 3.146 Å, b = 3.146 Å, c = 4.441 Å
α = 90.00°, β = 90.00°, γ = 90.00°
Space group P-4m2 (No. 115)
Inequivalent atoms, fractional coordinates:
Al  0.000  0.500  0.244 [2 per cell]
N  0.500  0.500  0.000 [1 per cell]
O  0.000  0.000  0.500 [1 per cell]

Most intense lines, 10° ≤ 2θ ≤ 80°, in order of rising 2θ:
(1 0 1), 2θ 35.0, rel. 100.0
(1 1 0), 2θ 40.6, rel. 8.0
(2 0 0), 2θ 58.7, rel. 51.3
(2 1 1), 2θ 70.2, rel. 33.3
(2 0 2), 2θ 73.8, rel. 2.9

---

Theoretical PXRD pattern of Ba3Pa2Pt2O5 for Cu Kα, from a crystal structure in Alexandria, relaxed with PBE.
Peak positions follow from Bragg's law for the DFT cell and can differ from measured ones.

Structural model:
a = 4.449 Å, b = 4.449 Å, c = 26.955 Å
α = 90.00°, β = 90.00°, γ = 90.00°
Space group I4/mmm (No. 139)
Inequivalent atoms, fractional coordinates:
Ba  0.000  0.000  0.000 [2 per cell]
Ba  0.000  0.000  0.191 [4 per cell]
Pa  0.000  0.000  0.418 [4 per cell]
Pt  0.000  0.000  0.317 [4 per cell]
O  0.000  0.000  0.500 [2 per cell]
O  0.000  0.500  0.072 [8 per cell]

Most intense lines, 10° ≤ 2θ ≤ 80°, in order of rising 2θ:
(1 0 1), 2θ 20.2, rel. 36.8
(1 0 5), 2θ 26.0, rel. 31.6
(0 0 8), 2θ 26.5, rel. 27.2
(1 1 0), 2θ 28.4, rel. 100.0
(1 0 7), 2θ 30.7, rel. 24.7
(1 1 8), 2θ 39.2, rel. 28.2
(2 0 0), 2θ 40.5, rel. 47.9
(1 1 10), 2θ 44.2, rel. 26.1

---

Theoretical PXRD pattern of Sm5Si2Hg for Cu Kα, from a crystal structure in Alexandria, relaxed with PBE.
Peak positions follow from Bragg's law for the DFT cell and can differ from measured ones.

Structural model:
a = 7.693 Å, b = 7.693 Å, c = 14.695 Å
α = 90.00°, β = 90.00°, γ = 90.00°
Space group I4/mcm (No. 140)
Inequivalent atoms, fractional coordinates:
Sm  0.000  0.000  0.000 [4 per cell]
Sm  0.175  0.325  0.140 [16 per cell]
Si  0.118  0.382  0.500 [8 per cell]
Hg  0.000  0.000  0.250 [4 per cell]

Most intense lines, 10° ≤ 2θ ≤ 80°, in order of rising 2θ:
(2 1 1), 2θ 26.6, rel. 44.6
(1 1 4), 2θ 29.3, rel. 58.5
(2 1 3), 2θ 31.8, rel. 87.4
(2 2 0), 2θ 32.9, rel. 35.3
(2 0 4), 2θ 33.7, rel. 100.0
(3 1 0), 2θ 37.0, rel. 70.3
(3 3 4), 2θ 56.6, rel. 37.9
(5 1 4), 2θ 67.1, rel. 33.9